No. 1
Diffraction record for AcSb3Rh. The powder diffraction line list is theoretical, not measured: it uses a structure optimized by DFT (GGA-PBE) and copper Kα.

The 6 most intense peaks (2θ = 15–90°), by angle:
| (hkl) | 2θ/deg | d_spacing | I/Imax |
| --- | --- | --- | --- |
| 1 1 1 | 21.06 | 4.219 | 26.3 |
| 2 2 0 | 31.13 | 2.873 | 56.0 |
| 2 0 2 | 31.63 | 2.829 | 41.0 |
| 4 1 1 | 33.08 | 2.708 | 100.0 |
| 0 2 2 | 40.68 | 2.218 | 58.2 |
| 5 2 2 | 53.13 | 1.724 | 28.1 |

Structural model:
Cell: 13.6787 6.3314 6.2158 Å, 90.00 90.00 90.00°
Space group Pbcm (No. 57)
Inequivalent atoms, fractional coordinates:
Ac 0.1957 0.0035 0.2500 [4 per cell]
Sb 0.0004 0.2500 0.0000 [4 per cell]
Sb 0.2949 0.5104 0.2500 [4 per cell]
Sb 0.4436 0.6011 0.7500 [4 per cell]
Rh 0.4100 0.2500 0.0000 [4 per cell]

No. 2
Diffraction record for LiPuHg4. The powder diffraction line list is theoretical, not measured: it uses a structure optimized by DFT (GGA-PBE) and copper Kα.

The 6 most intense peaks (2θ = 15–90°), by angle:
| (hkl) | 2θ/deg | d_spacing | I/Imax |
| --- | --- | --- | --- |
| 1 1 0 | 27.11 | 3.289 | 38.6 |
| 1 1 1 | 29.65 | 3.013 | 37.2 |
| 1 1 2 | 36.31 | 2.474 | 100.0 |
| 2 0 0 | 38.71 | 2.326 | 52.5 |
| 2 0 3 | 53.80 | 1.704 | 24.3 |
| 3 1 2 | 68.50 | 1.370 | 32.5 |

Structural model:
Cell: 4.6520 4.6520 7.5109 Å, 90.00 90.00 90.00°
Space group P4/mmm (No. 123)
Inequivalent atoms, fractional coordinates:
Li 0.0000 0.0000 0.0000 [1 per cell]
Pu 0.5000 0.5000 0.5000 [1 per cell]
Hg 0.0000 0.5000 0.2080 [4 per cell]